For Dy7Ga2Rh2, a DFT-relaxed cell (PBE, Alexandria) gives the simulated powder diffractogram in this record (a wavelength of 1.5418 Å).
Kinematic intensities with the Lorentz-polarization factor, no thermal factor.

Structure:
```
Dy7Ga2Rh2
1.0
3.8941 -5.4119 0.0000
3.8941 5.4119 0.0000
0.0000 0.0000 6.9755
Dy Ga Rh
7 2 2
Direct
0.0000 0.0000 0.0000 Dy
0.0000 0.5000 0.2609 Dy
0.0000 0.5000 0.7391 Dy
0.5000 0.0000 0.2609 Dy
0.5000 0.0000 0.7391 Dy
0.5000 0.5000 0.2545 Dy
0.5000 0.5000 0.7455 Dy
0.1677 0.1677 0.5000 Ga
0.8323 0.8323 0.5000 Ga
0.2924 0.7076 0.0000 Rh
0.7076 0.2924 0.0000 Rh
```

Top 12 peaks for 2θ from 15° to 90°, sorted by position:
2θ = 26.21°, d 3.400, rel. 29; 2θ = 28.23°, d 3.161, rel. 76; 2θ = 29.24°, d 3.054, rel. 46; 2θ = 33.11°, d 2.706, rel. 64; 2θ = 34.52°, d 2.598, rel. 23; 2θ = 37.69°, d 2.387, rel. 47; 2θ = 38.43°, d 2.342, rel. 100; 2θ = 46.65°, d 1.947, rel. 21; 2θ = 52.47°, d 1.744, rel. 20; 2θ = 58.39°, d 1.580, rel. 18; 2θ = 62.70°, d 1.482, rel. 18; 2θ = 63.46°, d 1.466, rel. 19

For InAg2Br5, a DFT-relaxed cell (PBE, Alexandria) gives the simulated powder diffractogram in this record (a wavelength of 1.5418 Å).
Kinematic intensities with the Lorentz-polarization factor, no thermal factor.

Structure:
```
InAg2Br5
1.0
6.3388 -4.2817 0.0000
6.3388 4.2817 0.0000
-3.5938 0.0000 5.7474
In Ag Br
1 2 5
Direct
0.0000 0.0000 0.0000 In
0.5668 0.9292 0.2986 Ag
0.9292 0.5668 0.2986 Ag
0.2440 0.2440 0.3621 Br
0.3076 0.7590 0.8805 Br
0.7529 0.7529 0.6382 Br
0.7590 0.3076 0.8805 Br
0.9349 0.9349 0.3118 Br
```

Top 12 peaks for 2θ from 15° to 90°, sorted by position:
2θ = 15.48°, d 5.724, rel. 100; 2θ = 25.99°, d 3.428, rel. 29; 2θ = 28.11°, d 3.175, rel. 27; 2θ = 29.56°, d 3.022, rel. 17; 2θ = 32.45°, d 2.759, rel. 16; 2θ = 33.34°, d 2.687, rel. 25; 2θ = 34.08°, d 2.631, rel. 24; 2θ = 37.84°, d 2.377, rel. 19; 2θ = 38.11°, d 2.362, rel. 13; 2θ = 42.25°, d 2.139, rel. 28; 2θ = 46.21°, d 1.964, rel. 12; 2θ = 48.37°, d 1.882, rel. 16

For NdYTeAs, a DFT-relaxed cell (PBE, Alexandria) gives the simulated powder diffractogram in this record (a wavelength of 1.5418 Å).
Kinematic intensities with the Lorentz-polarization factor, no thermal factor.

Structure:
```
NdYTeAs
1.0
2.1343 1.2322 7.2236
-2.1343 1.2322 7.2236
0.0000 -2.4644 7.2236
Nd Y Te As
1 1 1 1
Direct
0.0000 0.0000 0.0000 Nd
0.4794 0.4794 0.4794 Y
0.2366 0.2366 0.2366 Te
0.7432 0.7432 0.7432 As
```

Top 12 peaks for 2θ from 15° to 90°, sorted by position:
2θ = 24.43°, d 3.644, rel. 6; 2θ = 29.25°, d 3.054, rel. 100; 2θ = 31.82°, d 2.813, rel. 9; 2θ = 41.32°, d 2.185, rel. 35; 2θ = 42.35°, d 2.134, rel. 38; 2θ = 52.30°, d 1.749, rel. 19; 2θ = 57.72°, d 1.597, rel. 6; 2θ = 60.65°, d 1.527, rel. 11; 2θ = 68.00°, d 1.379, rel. 13; 2θ = 69.47°, d 1.353, rel. 16; 2θ = 76.75°, d 1.242, rel. 11; 2θ = 77.46°, d 1.232, rel. 6

- What is the formula in the third record?
  NdYTeAs

- Number 3 is which compound?
  NdYTeAs